(1)
MgCo6O7F5: computed powder X-ray diffraction pattern (Cu Kα (weighted mean of Kα1 and Kα2)), based on the GGA+U geometry in the Materials Project.

Largest 6 diffraction maxima, sorted by position, 10° ≤ 2θ ≤ 90°:
22.91 deg, intensity 100; 27.71 deg, intensity 78; 36.19 deg, intensity 37; 36.45 deg, intensity 43; 49.92 deg, intensity 40; 55.09 deg, intensity 30

Structural model:
a = 4.974 Å, b = 5.116 Å, c = 8.562 Å
α = 89.97°, β = 89.96°, γ = 79.34°
Space group P1 (No. 1)
Symmetry-distinct sites (fractional):
Mg (0.000, 0.000, 0.000) x1
Co (0.459, 0.022, 0.332) x1
Co (0.459, 0.022, 0.666) x1
Co (0.498, 0.100, 0.999) x1
Co (0.923, 0.507, 0.169) x1
Co (0.924, 0.506, 0.830) x1
Co (0.953, 0.500, 0.499) x1
O (0.231, 0.166, 0.160) x1
O (0.232, 0.165, 0.838) x1
O (0.243, 0.190, 0.499) x1
O (0.650, 0.838, 0.499) x1
O (0.684, 0.877, 0.841) x1
O (0.684, 0.878, 0.157) x1
O (0.729, 0.347, 0.999) x1
F (0.137, 0.668, 0.666) x1
F (0.140, 0.666, 0.332) x1
F (0.168, 0.640, 0.999) x1
F (0.726, 0.348, 0.340) x1
F (0.729, 0.348, 0.658) x1

(2)
MgCo6O7F5: computed powder X-ray diffraction pattern (Cu Kα (weighted mean of Kα1 and Kα2)), based on the GGA+U geometry in the Materials Project.

Largest 6 diffraction maxima, sorted by position, 10° ≤ 2θ ≤ 90°:
18.21 deg, intensity 22; 23.11 deg, intensity 100; 27.77 deg, intensity 87; 35.43 deg, intensity 59; 35.49 deg, intensity 27; 57.36 deg, intensity 25

Structural model:
a = 5.759 Å, b = 5.946 Å, c = 7.487 Å
α = 105.89°, β = 98.26°, γ = 113.28°
Space group P1 (No. 1)
Symmetry-distinct sites (fractional):
Mg (0.000, 0.000, 0.000) x1
Co (0.000, 0.436, 0.924) x1
Co (0.271, 0.536, 0.327) x1
Co (0.380, 0.029, 0.784) x1
Co (0.568, 0.560, 0.675) x1
Co (0.606, 0.995, 0.146) x1
Co (0.947, 0.019, 0.496) x1
O (0.064, 0.179, 0.786) x1
O (0.245, 0.342, 0.494) x1
O (0.315, 0.686, 0.135) x1
O (0.585, 0.845, 0.869) x1
O (0.622, 0.712, 0.491) x1
O (0.640, 0.359, 0.801) x1
O (0.933, 0.300, 0.140) x1
F (0.044, 0.726, 0.815) x1
F (0.179, 0.821, 0.506) x1
F (0.383, 0.176, 0.093) x1
F (0.691, 0.153, 0.419) x1
F (0.883, 0.857, 0.199) x1

(3)
MgCo6O6F6: computed powder X-ray diffraction pattern (Cu Kα (weighted mean of Kα1 and Kα2)), based on the GGA+U geometry in the Materials Project.

Largest 6 diffraction maxima, sorted by position, 10° ≤ 2θ ≤ 90°:
23.55 deg, intensity 59; 28.28 deg, intensity 100; 34.34 deg, intensity 60; 35.03 deg, intensity 60; 35.81 deg, intensity 41; 55.01 deg, intensity 42

Structural model:
a = 5.097 Å, b = 3.059 Å, c = 14.290 Å
α = 90.00°, β = 100.23°, γ = 90.00°
Space group P2/m (No. 10)
Symmetry-distinct sites (fractional):
Mg (0.000, 0.000, 0.000) x1
Co (0.000, 0.000, 0.500) x1
Co (0.274, 0.000, 0.790) x2
Co (0.351, 0.500, 0.346) x2
Co (0.500, 0.500, 0.000) x1
O (0.112, 0.500, 0.433) x2
O (0.317, 0.000, 0.929) x2
O (0.424, 0.500, 0.745) x2
F (0.115, 0.000, 0.269) x2
F (0.184, 0.500, 0.075) x2
F (0.425, 0.000, 0.588) x2

(4)
MgCo6O6F6: computed powder X-ray diffraction pattern (Cu Kα (weighted mean of Kα1 and Kα2)), based on the GGA+U geometry in the Materials Project.

Largest 6 diffraction maxima, sorted by position, 10° ≤ 2θ ≤ 90°:
24.32 deg, intensity 96; 27.28 deg, intensity 100; 29.10 deg, intensity 74; 34.62 deg, intensity 55; 34.77 deg, intensity 53; 36.65 deg, intensity 50

Structural model:
a = 3.054 Å, b = 5.065 Å, c = 14.359 Å
α = 83.55°, β = 84.47°, γ = 89.89°
Space group P1 (No. 1)
Symmetry-distinct sites (fractional):
Mg (0.000, 0.000, 0.000) x1
Co (0.092, 0.693, 0.786) x1
Co (0.213, 0.664, 0.494) x1
Co (0.350, 0.754, 0.205) x1
Co (0.500, 0.523, 0.994) x1
Co (0.649, 0.184, 0.645) x1
Co (0.781, 0.144, 0.341) x1
O (0.031, 0.680, 0.923) x1
O (0.120, 0.023, 0.713) x1
O (0.177, 0.361, 0.582) x1
O (0.252, 0.973, 0.408) x1
O (0.470, 0.798, 0.068) x1
O (0.830, 0.928, 0.245) x1
F (0.312, 0.386, 0.271) x1
F (0.533, 0.204, 0.929) x1
F (0.608, 0.482, 0.749) x1
F (0.682, 0.825, 0.564) x1
F (0.744, 0.485, 0.424) x1
F (0.973, 0.336, 0.066) x1

(5)
MgCo6O6F6: computed powder X-ray diffraction pattern (Cu Kα (weighted mean of Kα1 and Kα2)), based on the GGA+U geometry in the Materials Project.

Largest 6 diffraction maxima, sorted by position, 10° ≤ 2θ ≤ 90°:
23.61 deg, intensity 100; 27.27 deg, intensity 88; 35.73 deg, intensity 39; 36.73 deg, intensity 33; 39.21 deg, intensity 30; 39.68 deg, intensity 40

Structural model:
a = 4.962 Å, b = 5.021 Å, c = 8.622 Å
α = 90.64°, β = 91.64°, γ = 98.07°
Space group P1 (No. 1)
Symmetry-distinct sites (fractional):
Mg (0.000, 0.000, 0.000) x1
Co (0.415, 0.121, 0.644) x1
Co (0.486, 0.814, 0.961) x1
Co (0.530, 0.900, 0.323) x1
Co (0.915, 0.450, 0.812) x1
Co (0.942, 0.476, 0.482) x1
Co (0.991, 0.518, 0.160) x1
O (0.131, 0.329, 0.651) x1
O (0.255, 0.824, 0.142) x1
O (0.656, 0.183, 0.480) x1
O (0.667, 0.117, 0.825) x1
O (0.788, 0.624, 0.989) x1
O (0.789, 0.639, 0.314) x1
F (0.174, 0.842, 0.816) x1
F (0.196, 0.374, 0.316) x1
F (0.198, 0.357, 0.986) x1
F (0.244, 0.814, 0.500) x1
F (0.717, 0.631, 0.654) x1
F (0.764, 0.144, 0.148) x1

(6)
MgCo6O7F5: computed powder X-ray diffraction pattern (Cu Kα (weighted mean of Kα1 and Kα2)), based on the GGA+U geometry in the Materials Project.

Largest 6 diffraction maxima, sorted by position, 10° ≤ 2θ ≤ 90°:
23.01 deg, intensity 100; 27.18 deg, intensity 85; 35.89 deg, intensity 50; 36.31 deg, intensity 24; 49.81 deg, intensity 22; 54.50 deg, intensity 23

Structural model:
a = 5.069 Å, b = 5.073 Å, c = 8.631 Å
α = 90.99°, β = 90.40°, γ = 99.34°
Space group P1 (No. 1)
Symmetry-distinct sites (fractional):
Mg (0.000, 0.000, 0.000) x1
Co (0.004, 0.500, 0.000) x1
Co (0.062, 0.439, 0.672) x1
Co (0.461, 0.957, 0.501) x1
Co (0.485, 0.017, 0.811) x1
Co (0.505, 0.962, 0.191) x1
Co (0.928, 0.533, 0.328) x1
O (0.128, 0.748, 0.154) x1
O (0.141, 0.665, 0.500) x1
O (0.150, 0.725, 0.844) x1
O (0.327, 0.201, 0.673) x1
O (0.648, 0.762, 0.325) x1
O (0.854, 0.273, 0.160) x1
O (0.866, 0.253, 0.843) x1
F (0.335, 0.181, 0.334) x1
F (0.363, 0.202, 0.008) x1
F (0.638, 0.800, 0.993) x1
F (0.639, 0.780, 0.671) x1
F (0.804, 0.249, 0.497) x1